For Ac2ErIr3O12, the GGA-PBE geometry in Alexandria gives the simulated X-ray powder pattern in this record (λ = 1.5418 Å (Cu Kα)).

Main lines, in order of rising 2θ (10 to 90 degrees two-theta):
24.66°, d 3.610, I 26, hkl 1 1 0; 26.46°, d 3.369, I 33, hkl 1 0 4; 29.10°, d 3.068, I 81, hkl 0 2 1; 29.89°, d 2.989, I 100, hkl 1 1 3; 30.70°, d 2.912, I 62, hkl 2 0 2; 31.41°, d 2.848, I 53, hkl 0 1 5; 46.80°, d 1.941, I 30, hkl 0 3 3; 47.84°, d 1.901, I 40, hkl 1 2 5; 50.56°, d 1.805, I 53, hkl 2 2 0; 54.48°, d 1.684, I 32, hkl 2 0 8

Atomic structure:
a b c (Å): 7.2204 7.2204 15.9934
angles (deg): 90.00 90.00 120.00
Space group R-3m (No. 166, hexagonal axes)
Asymmetric unit:
Ac: 0.0000 0.0000 0.1169 [6 per cell]
Er: 0.0000 0.0000 0.5000 [3 per cell]
Ir: 0.0000 0.5000 0.0000 [9 per cell]
O: 0.0319 0.5159 0.8783 [18 per cell]
O: 0.0480 0.5240 0.3172 [18 per cell]